1.
The following is a simulated powder X-ray diffraction pattern of Pm5Nd3Er3. It was derived from a GGA-PBE-relaxed structure, using Cu Kα X-rays.

Top 10 peaks for 10° ≤ 2θ ≤ 90°, sorted by position:
28.9 deg, I 25; 30.6 deg, I 73; 30.9 deg, I 31; 31.1 deg, I 83; 31.3 deg, I 36; 32.0 deg, I 100; 46.4 deg, I 20; 49.7 deg, I 21; 58.3 deg, I 22; 59.5 deg, I 22

Cell and atoms:
Unit cell a=3.6683 b=9.4274 c=11.7447 alpha=68.93 beta=81.08 gamma=89.99
Element x y z (fractional)
Pm: 0.0000 0.0000 0.0000
Pm: 0.0408 0.4116 0.9182
Pm: 0.2435 0.9774 0.5135
Pm: 0.6715 0.6318 0.6534
Pm: 0.8173 0.3032 0.3641
Nd: 0.0823 0.8088 0.8301
Nd: 0.4114 0.1751 0.1746
Nd: 0.6448 0.2088 0.7063
Er: 0.2690 0.5235 0.4582
Er: 0.4375 0.6223 0.1249
Er: 0.8424 0.8358 0.3117


2.
The following is a simulated powder X-ray diffraction pattern of CeP2N2O8. It was derived from a GGA-PBE-relaxed structure, using Cu Kα X-rays.

Top 10 peaks for 10° ≤ 2θ ≤ 90°, sorted by position:
13.8 deg, I 100; 20.7 deg, I 12; 26.2 deg, I 27; 27.1 deg, I 22; 29.7 deg, I 22; 32.5 deg, I 7; 34.2 deg, I 17; 43.1 deg, I 8; 45.1 deg, I 10; 51.5 deg, I 14

Cell and atoms:
Unit cell a=10.5428 b=10.5428 c=10.5428 alpha=142.28 beta=142.28 gamma=54.40
Element x y z (fractional)
Ce: 0.3750 0.6250 0.7500
Ce: 0.6250 0.3750 0.2500
P: 0.2058 0.4558 0.7500
P: 0.4558 0.2058 0.2500
P: 0.5442 0.7942 0.7500
P: 0.7942 0.5442 0.2500
N: 0.0000 0.0000 0.0000
N: 0.0000 0.0000 0.5000
N: 0.0000 0.5000 0.0000
N: 0.5000 0.0000 0.5000
O: 0.0244 0.5927 0.4318
O: 0.2580 0.3296 0.5716
O: 0.2580 0.6864 0.9284
O: 0.3136 0.7420 0.5716
O: 0.3296 0.2580 0.0716
O: 0.3391 0.4073 0.9318
O: 0.4073 0.3391 0.4318
O: 0.4073 0.9756 0.0682
O: 0.5927 0.0244 0.9318
O: 0.5927 0.6609 0.5682
O: 0.6609 0.5927 0.0682
O: 0.6704 0.7420 0.9284
O: 0.6864 0.2580 0.4284
O: 0.7420 0.3136 0.0716
O: 0.7420 0.6704 0.4284
O: 0.9756 0.4073 0.5682


3.
The following is a simulated powder X-ray diffraction pattern of Rb2TiI5. It was derived from a GGA-PBE-relaxed structure, using Cu Kα X-rays.

Top 10 peaks for 10° ≤ 2θ ≤ 90°, sorted by position:
13.4 deg, I 29; 24.3 deg, I 15; 27.0 deg, I 100; 28.7 deg, I 54; 31.8 deg, I 13; 37.9 deg, I 13; 41.0 deg, I 17; 46.0 deg, I 15; 46.5 deg, I 18; 49.8 deg, I 24

Cell and atoms:
Unit cell a=8.7987 b=8.7987 c=10.0382 alpha=90.00 beta=90.00 gamma=90.00
Element x y z (fractional)
Rb: 0.0000 0.5000 0.0000
Rb: 0.0000 0.5000 0.5000
Rb: 0.5000 0.0000 0.0000
Rb: 0.5000 0.0000 0.5000
Ti: 0.0000 0.0000 0.3093
Ti: 0.5000 0.5000 0.8093
I: 0.0000 0.0000 0.5667
I: 0.2192 0.2192 0.2487
I: 0.2192 0.7808 0.2487
I: 0.2808 0.2808 0.7487
I: 0.2808 0.7192 0.7487
I: 0.5000 0.5000 0.0667
I: 0.7192 0.2808 0.7487
I: 0.7192 0.7192 0.7487
I: 0.7808 0.2192 0.2487
I: 0.7808 0.7808 0.2487


4.
The following is a simulated powder X-ray diffraction pattern of Cs2PmTi2O7. It was derived from a GGA-PBE-relaxed structure, using Cu Kα X-rays.

Top 10 peaks for 10° ≤ 2θ ≤ 90°, sorted by position:
21.5 deg, I 14; 22.8 deg, I 14; 28.9 deg, I 100; 32.0 deg, I 44; 38.9 deg, I 27; 45.9 deg, I 25; 46.4 deg, I 13; 49.2 deg, I 14; 55.2 deg, I 33; 67.4 deg, I 9

Cell and atoms:
Unit cell a=12.6971 b=12.6971 c=12.6971 alpha=162.10 beta=162.10 gamma=25.42
Element x y z (fractional)
Cs: 0.1856 0.1856 0.0000
Cs: 0.8144 0.8144 0.0000
Pm: 0.0000 0.0000 0.0000
Ti: 0.4166 0.4166 0.0000
Ti: 0.5834 0.5834 0.0000
O: 0.0692 0.5692 0.5000
O: 0.3443 0.3443 0.0000
O: 0.4308 0.9308 0.5000
O: 0.5000 0.5000 0.0000
O: 0.5692 0.0692 0.5000
O: 0.6557 0.6557 0.0000
O: 0.9308 0.4308 0.5000


5.
The following is a simulated powder X-ray diffraction pattern of KCu4Te2Se. It was derived from a GGA-PBE-relaxed structure, using Cu Kα X-rays.

Top 10 peaks for 10° ≤ 2θ ≤ 90°, sorted by position:
13.7 deg, I 62; 16.8 deg, I 49; 24.2 deg, I 83; 27.3 deg, I 100; 30.9 deg, I 21; 33.1 deg, I 18; 42.0 deg, I 63; 46.9 deg, I 24; 49.4 deg, I 34; 54.4 deg, I 23

Cell and atoms:
Unit cell a=7.8390 b=7.4772 c=5.8610 alpha=70.81 beta=64.27 gamma=44.92
Element x y z (fractional)
K: 0.0000 0.0000 0.0000
Cu: 0.2440 0.5527 0.4473
Cu: 0.5269 0.8753 0.4731
Cu: 0.5527 0.2440 0.7560
Cu: 0.8753 0.5269 0.1247
Te: 0.2856 0.2856 0.2144
Te: 0.7856 0.7856 0.7144
Se: 0.5442 0.5442 0.4558


6.
The following is a simulated powder X-ray diffraction pattern of Li2ScCrH8. It was derived from a GGA-PBE-relaxed structure, using Cu Kα X-rays.

Top 10 peaks for 10° ≤ 2θ ≤ 90°, sorted by position:
19.0 deg, I 100; 28.8 deg, I 34; 29.4 deg, I 32; 34.8 deg, I 60; 35.3 deg, I 58; 38.6 deg, I 18; 41.7 deg, I 29; 46.2 deg, I 32; 48.9 deg, I 13; 58.1 deg, I 26

Cell and atoms:
Unit cell a=3.0977 b=4.6633 c=6.0674 alpha=90.00 beta=90.00 gamma=90.00
Element x y z (fractional)
Li: 0.0000 0.0000 0.2335
Li: 0.0000 0.0000 0.7665
Sc: 0.5000 0.5000 0.5000
Cr: 0.5000 0.5000 0.0000
H: 0.0000 0.2364 0.5000
H: 0.0000 0.3074 0.0000
H: 0.0000 0.6926 0.0000
H: 0.0000 0.7636 0.5000
H: 0.5000 0.2615 0.2144
H: 0.5000 0.2615 0.7856
H: 0.5000 0.7385 0.2144
H: 0.5000 0.7385 0.7856


7.
The following is a simulated powder X-ray diffraction pattern of Sr3GeP4. It was derived from a GGA-PBE-relaxed structure, using Cu Kα X-rays.

Top 10 peaks for 10° ≤ 2θ ≤ 90°, sorted by position:
25.3 deg, I 43; 27.5 deg, I 100; 27.8 deg, I 95; 28.6 deg, I 39; 29.9 deg, I 59; 34.0 deg, I 51; 34.1 deg, I 43; 34.7 deg, I 92; 35.2 deg, I 49; 39.7 deg, I 48

Cell and atoms:
Unit cell a=8.2027 b=10.3501 c=9.6199 alpha=90.00 beta=90.00 gamma=90.00
Element x y z (fractional)
Sr: 0.0480 0.0497 0.1894
Sr: 0.0480 0.4503 0.1894
Sr: 0.1622 0.7500 0.4150
Sr: 0.3378 0.2500 0.9150
Sr: 0.4520 0.5497 0.6894
Sr: 0.4520 0.9503 0.6894
Sr: 0.5480 0.0497 0.3106
Sr: 0.5480 0.4503 0.3106
Sr: 0.6622 0.7500 0.0850
Sr: 0.8378 0.2500 0.5850
Sr: 0.9520 0.5497 0.8106
Sr: 0.9520 0.9503 0.8106
Ge: 0.2320 0.2500 0.4543
Ge: 0.2680 0.7500 0.9543
Ge: 0.7320 0.2500 0.0457
Ge: 0.7680 0.7500 0.5457
P: 0.0406 0.7500 0.0994
P: 0.1225 0.0398 0.5342
P: 0.1225 0.4602 0.5342
P: 0.1957 0.7500 0.7245
P: 0.3043 0.2500 0.2245
P: 0.3775 0.5398 0.0342
P: 0.3775 0.9602 0.0342
P: 0.4594 0.2500 0.5994
P: 0.5406 0.7500 0.4006
P: 0.6225 0.0398 0.9658
P: 0.6225 0.4602 0.9658
P: 0.6957 0.7500 0.7755
P: 0.8043 0.2500 0.2755
P: 0.8775 0.5398 0.4658
P: 0.8775 0.9602 0.4658
P: 0.9594 0.2500 0.9006


8.
The following is a simulated powder X-ray diffraction pattern of LiScMnCl6. It was derived from a GGA-PBE-relaxed structure, using Cu Kα X-rays.

Top 10 peaks for 10° ≤ 2θ ≤ 90°, sorted by position:
17.9 deg, I 19; 22.4 deg, I 50; 32.3 deg, I 100; 36.4 deg, I 14; 42.5 deg, I 57; 46.7 deg, I 13; 50.0 deg, I 37; 56.2 deg, I 16; 60.8 deg, I 12; 86.2 deg, I 14

Cell and atoms:
Unit cell a=6.3219 b=6.3219 c=11.4862 alpha=90.00 beta=90.00 gamma=120.00
Element x y z (fractional)
Li: 0.3333 0.6667 0.2500
Li: 0.6667 0.3333 0.7500
Sc: 0.3333 0.6667 0.7500
Sc: 0.6667 0.3333 0.2500
Mn: 0.0000 0.0000 0.0000
Mn: 0.0000 0.0000 0.5000
Cl: 0.0077 0.3389 0.6260
Cl: 0.0077 0.6689 0.8740
Cl: 0.3311 0.3389 0.8740
Cl: 0.3311 0.9923 0.6260
Cl: 0.3389 0.0077 0.1260
Cl: 0.3389 0.3311 0.3740
Cl: 0.6611 0.6689 0.6260
Cl: 0.6611 0.9923 0.8740
Cl: 0.6689 0.0077 0.3740
Cl: 0.6689 0.6611 0.1260
Cl: 0.9923 0.3311 0.1260
Cl: 0.9923 0.6611 0.3740